[1]
Computed powder diffractogram of Th6C5N for Cu Kα X-rays, from the PBE geometry in Alexandria.

Largest 8 diffraction maxima, sorted by position, 2θ = 15–90°:
3.079 Å, 2θ = 29.00°, rel. 100
2.667 Å, 2θ = 33.60°, rel. 63
1.886 Å, 2θ = 48.26°, rel. 46
1.608 Å, 2θ = 57.29°, rel. 48
1.540 Å, 2θ = 60.09°, rel. 16
1.333 Å, 2θ = 70.64°, rel. 8
1.224 Å, 2θ = 78.10°, rel. 20
1.193 Å, 2θ = 80.54°, rel. 21

```
12
Lattice="3.266 -5.660 0.000 3.266 5.660 0.000 -2.175 0.000 6.157" Properties=species:S:1:pos:R:3 pbc="T T T"
Th -0.002 1.881 4.619
Th 1.081 0.000 1.543
Th -0.002 -1.881 4.619
Th 4.359 1.881 1.538
Th 3.276 0.000 4.614
Th 4.359 -1.881 1.538
C 3.266 3.768 0.000
C 2.179 1.892 3.078
C 3.266 0.000 0.000
C 2.179 -1.892 3.078
C 3.266 -3.768 0.000
N -1.087 0.000 3.078
```

[2]
Computed powder diffractogram of Nb3Ru3N for Cu Kα X-rays, from the PBE geometry in Alexandria.

Largest 10 diffraction maxima, sorted by position, 2θ = 15–90°:
2.702 Å, 2θ = 33.15°, rel. 8
2.404 Å, 2θ = 37.40°, rel. 30
2.267 Å, 2θ = 39.76°, rel. 100
2.082 Å, 2θ = 43.46°, rel. 30
1.963 Å, 2θ = 46.24°, rel. 12
1.776 Å, 2θ = 51.46°, rel. 7
1.388 Å, 2θ = 67.47°, rel. 32
1.360 Å, 2θ = 69.06°, rel. 8
1.184 Å, 2θ = 81.27°, rel. 20
1.133 Å, 2θ = 85.71°, rel. 7

```
28
Lattice="0.000 5.889 5.889 5.889 0.000 5.889 5.889 5.889 0.000" Properties=species:S:1:pos:R:3 pbc="T T T"
Nb 4.417 4.417 0.786
Nb 4.417 0.786 4.417
Nb 8.048 4.417 4.417
Nb 7.362 7.362 3.730
Nb 7.362 3.730 7.362
Nb 10.993 7.362 7.362
Nb 0.786 4.417 4.417
Nb 4.417 8.048 4.417
Nb 4.417 4.417 8.048
Nb 3.730 7.362 7.362
Nb 7.362 10.993 7.362
Nb 7.362 7.362 10.993
Ru 5.889 2.945 2.945
Ru 3.454 3.454 3.454
Ru 5.380 5.380 3.454
Ru 5.380 3.454 5.380
Ru 8.325 6.398 6.398
Ru 2.945 5.889 2.945
Ru 2.945 2.945 5.889
Ru 5.889 5.889 5.889
Ru 3.454 5.380 5.380
Ru 6.398 8.325 6.398
Ru 6.398 6.398 8.325
Ru 8.325 8.325 8.325
N 0.000 0.000 0.000
N 2.945 2.945 0.000
N 2.945 0.000 2.945
N 0.000 2.945 2.945
```